MnAl8Cu2: simulated XRD peak list (Cu Kα (weighted mean of Kα1 and Kα2)), based on a DFT-relaxed cell (GGA-PBE, Alexandria).

Main lines, sorted by position (5° ≤ 2θ ≤ 70°):
2θ (°), I (rel.), index
13.10, 12, 2 0 0
22.48, 15, 2 0 1
27.24, 20, 1 1 -1
39.99, 99, 5 1 -1
40.18, 100, 1 1 2
46.02, 32, 4 0 -3
46.92, 63, 0 2 0
67.56, 10, 10 0 -2
67.82, 19, 4 2 -3
68.53, 19, 6 2 1

Lattice parameters (Å, degrees): 14.088 3.874 6.212 90.00 106.30 90.00
Space group C2/m (No. 12)
Unique sites:
Mn (0.000, 0.000, 0.000) [2 per cell]
Al (0.044, 0.500, 0.734) [4 per cell]
Al (0.097, 0.000, 0.448) [4 per cell]
Al (0.142, 0.500, 0.192) [4 per cell]
Al (0.180, 0.000, 0.915) [4 per cell]
Cu (0.220, 0.500, 0.638) [4 per cell]

***

TbZn11Pd: simulated XRD peak list (Cu Kα (weighted mean of Kα1 and Kα2)), based on a DFT-relaxed cell (GGA-PBE, Alexandria).

Main lines, sorted by position (5° ≤ 2θ ≤ 70°):
2θ (°), I (rel.), index
34.32, 20, 2 0 -1
34.63, 29, 1 3 1
34.90, 39, 1 3 -2
39.85, 56, 2 2 0
40.21, 100, 2 2 -2
40.35, 69, 1 5 0
40.54, 86, 0 4 2
40.66, 30, 1 1 -3
45.07, 30, 2 4 -1
45.47, 27, 2 0 -3

Lattice parameters (Å, degrees): 5.227 12.609 6.776 90.00 111.96 90.00
Space group C2/m (No. 12)
Unique sites:
Tb (0.000, 0.000, 0.000) [2 per cell]
Zn (0.000, 0.500, 0.500) [2 per cell]
Zn (0.105, 0.391, 0.215) [8 per cell]
Zn (0.167, 0.176, 0.353) [8 per cell]
Zn (0.250, 0.250, 0.000) [4 per cell]
Pd (0.000, 0.000, 0.500) [2 per cell]

***

Nd2Dy8Er3: simulated XRD peak list (Cu Kα (weighted mean of Kα1 and Kα2)), based on a DFT-relaxed cell (GGA-PBE, Alexandria).

Main lines, sorted by position (5° ≤ 2θ ≤ 70°):
2θ (°), I (rel.), index
24.96, 17, 2 2 0
29.40, 28, 1 5 1
30.54, 30, 0 6 1
32.38, 38, 0 0 2
33.45, 100, 2 4 1
34.67, 13, 0 8 0
41.32, 11, 2 2 2
48.17, 11, 0 8 2
58.44, 21, 2 4 3
67.82, 13, 0 0 4

Lattice parameters (Å, degrees): 7.599 20.700 5.530 90.00 90.00 90.00
Space group Cmmm (No. 65)
Unique sites:
Nd (0.000, 0.241, 0.000) [4 per cell]
Dy (0.000, 0.128, 0.500) [4 per cell]
Dy (0.000, 0.338, 0.500) [4 per cell]
Dy (0.212, 0.394, 0.000) [8 per cell]
Er (0.000, 0.000, 0.000) [2 per cell]
Er (0.214, 0.500, 0.500) [4 per cell]

***

NbGeOs: simulated XRD peak list (Cu Kα (weighted mean of Kα1 and Kα2)), based on a DFT-relaxed cell (GGA-PBE, Alexandria).

Main lines, sorted by position (5° ≤ 2θ ≤ 70°):
2θ (°), I (rel.), index
23.61, 23, 2 0 0
35.97, 40, 2 0 2
36.25, 100, 2 3 1
39.43, 85, 2 2 2
39.77, 27, 2 4 0
41.41, 43, 0 1 3
41.58, 36, 3 2 1
41.81, 41, 0 4 2
42.06, 42, 0 5 1
48.27, 56, 4 0 0

Lattice parameters (Å, degrees): 7.535 11.347 6.666 90.00 90.00 90.00
Space group Ima2 (No. 46)
Unique sites:
Nb (0.250, 0.002, 0.000) [4 per cell]
Nb (0.250, 0.232, 0.655) [4 per cell]
Nb (0.250, 0.691, 0.117) [4 per cell]
Ge (0.006, 0.667, 0.417) [8 per cell]
Ge (0.250, 0.046, 0.413) [4 per cell]
Os (0.000, 0.000, 0.660) [4 per cell]
Os (0.045, 0.623, 0.791) [8 per cell]

***

CaPtO6: simulated XRD peak list (Cu Kα (weighted mean of Kα1 and Kα2)), based on a DFT-relaxed cell (GGA-PBE, Alexandria).

Main lines, sorted by position (5° ≤ 2θ ≤ 70°):
2θ (°), I (rel.), index
15.43, 100, 1 1 0
19.84, 8, 1 1 1
26.90, 26, 2 0 0
29.46, 40, 1 1 2
37.01, 16, 2 0 2
40.32, 24, 2 2 2
41.62, 10, 3 1 0
49.13, 25, 1 5 -2
58.75, 9, 1 3 4
64.01, 8, 3 5 2

Lattice parameters (Å, degrees): 6.627 11.488 7.140 90.00 90.11 90.00
Space group C2/c (No. 15)
Unique sites:
Ca (0.000, 0.167, 0.250) [4 per cell]
Pt (0.000, 0.500, 0.000) [4 per cell]
O (0.057, 0.357, 0.338) [8 per cell]
O (0.186, 0.401, 0.838) [8 per cell]
O (0.242, 0.457, 0.662) [8 per cell]

***

Ba2GaAu7: simulated XRD peak list (Cu Kα (weighted mean of Kα1 and Kα2)), based on a DFT-relaxed cell (GGA-PBE, Alexandria).

Main lines, sorted by position (5° ≤ 2θ ≤ 70°):
2θ (°), I (rel.), index
20.32, 32, 1 0 1
30.49, 69, 1 0 3
31.07, 100, 1 1 2
37.89, 94, 2 0 0
42.06, 67, 1 1 4
44.80, 29, 1 0 5
49.39, 36, 2 1 3
54.67, 33, 2 2 0
60.09, 25, 2 1 5
64.22, 25, 3 1 2

Lattice parameters (Å, degrees): 4.749 4.749 11.179 90.00 90.00 90.00
Space group P-4m2 (No. 115)
Unique sites:
Ba (0.000, 0.500, 0.240) [2 per cell]
Ga (0.000, 0.000, 0.500) [1 per cell]
Au (0.000, 0.000, 0.000) [1 per cell]
Au (0.000, 0.500, 0.621) [2 per cell]
Au (0.000, 0.500, 0.863) [2 per cell]
Au (0.500, 0.500, 0.000) [1 per cell]
Au (0.500, 0.500, 0.500) [1 per cell]

***

AgHg2Au: simulated XRD peak list (Cu Kα (weighted mean of Kα1 and Kα2)), based on a DFT-relaxed cell (GGA-PBE, Alexandria).

Main lines, sorted by position (5° ≤ 2θ ≤ 70°):
2θ (°), I (rel.), index
9.04, 4, 0 0 3
27.34, 6, 0 0 9
35.09, 100, 1 0 4
36.31, 5, 0 1 5
36.74, 26, 0 0 12
41.23, 61, 0 1 8
52.61, 5, 1 0 13
58.60, 23, 1 1 0
60.84, 16, 1 0 16
63.79, 4, 0 1 17

Lattice parameters (Å, degrees): 3.1504 3.1504 29.3564 90.00 90.00 120.00
Space group R3m (No. 160, hexagonal axes)
Unique sites:
Ag (0.0000, 0.0000, 0.0000) [3 per cell]
Hg (0.0000, 0.0000, 0.2525) [3 per cell]
Hg (0.0000, 0.0000, 0.4907) [3 per cell]
Au (0.0000, 0.0000, 0.7419) [3 per cell]